For LuTlRh2, a crystal structure in the Materials Project, relaxed with GGA-PBE gives the calculated X-ray powder pattern in this record (Cu Ka).
No peak broadening, texture or thermal motion is included.

Atomic structure:
abc: 6.6355 6.6355 6.6355
angles: 90.00 90.00 90.00
Space group Fm-3m (No. 225)
One atom of each set of equivalent atoms:
Lu1 0.0000 0.0000 0.0000 [4 per cell]
Tl1 0.0000 0.0000 0.5000 [4 per cell]
Rh1 0.2500 0.2500 0.2500 [8 per cell]

Most intense lines, 2θ from 5° to 70°, sorted by position:
d [Å], 2θ (°), I/Imax, index
3.318, 26.9, 9.3, 2 0 0
2.346, 38.4, 100.0, 2 2 0
1.916, 47.5, 2.9, 2 2 2
1.659, 55.4, 17.3, 4 0 0
1.484, 62.6, 4.0, 4 2 0
1.354, 69.4, 35.1, 4 2 2